Sr6ZnPd: calculated X-ray powder pattern (Cu Kα X-rays), based on a cell relaxed with GGA-PBE.
Lines closer than 0.1° are merged.

Largest 10 diffraction maxima, low angle first, 2θ from 10° to 80°:
18.19 deg, rel. 25; 24.49 deg, rel. 12; 26.48 deg, rel. 100; 34.14 deg, rel. 49; 41.16 deg, rel. 36; 44.34 deg, rel. 25; 49.61 deg, rel. 17; 54.52 deg, rel. 12; 66.37 deg, rel. 14; 66.86 deg, rel. 16

Crystal structure
```
16
Lattice="7.596 0.000 0.000 -3.798 6.579 0.000 0.000 0.000 14.539" Properties=species:S:1:pos:R:3 pbc="T T T"
Sr -1.209 2.162 1.763
Sr -2.530 4.451 5.506
Sr 1.209 2.162 5.506
Sr -1.321 6.544 1.763
Sr 2.477 0.035 9.032
Sr 1.268 2.128 12.776
Sr 2.530 4.451 1.763
Sr 1.321 6.544 5.506
Sr 5.119 0.035 12.776
Sr 2.590 4.416 9.032
Sr 6.328 2.128 9.032
Sr 5.007 4.416 12.776
Zn 0.000 4.386 10.904
Zn 3.798 2.193 3.635
Pd 0.000 0.000 0.000
Pd 0.000 0.000 7.269
```

SrZn12Pd6: calculated X-ray powder pattern (Cu Kα X-rays), based on a cell relaxed with GGA-PBE.
Lines closer than 0.1° are merged.

Largest 10 diffraction maxima, low angle first, 2θ from 10° to 80°:
15.53 deg, rel. 18; 25.89 deg, rel. 27; 31.35 deg, rel. 23; 34.24 deg, rel. 54; 41.09 deg, rel. 100; 44.92 deg, rel. 53; 47.81 deg, rel. 23; 50.58 deg, rel. 26; 67.12 deg, rel. 13; 69.93 deg, rel. 16

Crystal structure
```
19
Lattice="5.707 3.295 2.948 -5.707 3.295 2.948 0.000 -6.590 2.948" Properties=species:S:1:pos:R:3 pbc="T T T"
Sr 0.000 0.000 0.000
Zn -2.209 -3.826 4.421
Zn -4.418 0.000 4.421
Zn -1.628 -0.940 2.691
Zn 1.628 -0.940 2.691
Zn 0.000 1.880 2.691
Zn 2.209 -3.826 4.421
Zn -2.209 3.826 4.421
Zn 0.000 -1.880 6.151
Zn -1.628 0.940 6.151
Zn 1.628 0.940 6.151
Zn 4.418 0.000 4.421
Zn 2.209 3.826 4.421
Pd 0.000 -2.703 3.671
Pd -2.341 1.351 3.671
Pd -2.341 -1.351 5.172
Pd 2.341 1.351 3.671
Pd 2.341 -1.351 5.172
Pd 0.000 2.703 5.172
```

Sr3Zn2Pd3: calculated X-ray powder pattern (Cu Kα X-rays), based on a cell relaxed with GGA-PBE.
Lines closer than 0.1° are merged.

Largest 10 diffraction maxima, low angle first, 2θ from 10° to 80°:
11.71 deg, rel. 19; 30.76 deg, rel. 19; 31.32 deg, rel. 89; 31.93 deg, rel. 100; 33.52 deg, rel. 25; 35.65 deg, rel. 82; 36.10 deg, rel. 25; 39.09 deg, rel. 46; 40.19 deg, rel. 55; 43.17 deg, rel. 18

Crystal structure
```
16
Lattice="2.244 -5.723 0.000 2.244 5.723 0.000 0.000 0.000 15.117" Properties=species:S:1:pos:R:3 pbc="T T T"
Sr 2.244 4.766 9.194
Sr 2.244 4.766 13.482
Sr 2.244 1.521 11.338
Sr 2.244 -1.521 3.779
Sr 2.244 -4.766 1.635
Sr 2.244 -4.766 5.923
Zn 2.244 3.267 1.347
Zn 2.244 3.267 6.212
Zn 2.244 -3.267 8.906
Zn 2.244 -3.267 13.771
Pd 2.244 2.031 3.779
Pd 2.244 1.324 8.147
Pd 2.244 1.324 14.529
Pd 2.244 -1.324 0.588
Pd 2.244 -1.324 6.970
Pd 2.244 -2.031 11.338
```

Sr2Zn6Pd: calculated X-ray powder pattern (Cu Kα X-rays), based on a cell relaxed with GGA-PBE.
Lines closer than 0.1° are merged.

Largest 10 diffraction maxima, low angle first, 2θ from 10° to 80°:
33.43 deg, rel. 50; 34.77 deg, rel. 47; 37.75 deg, rel. 100; 46.39 deg, rel. 22; 49.22 deg, rel. 13; 55.18 deg, rel. 12; 56.09 deg, rel. 17; 61.78 deg, rel. 25; 67.07 deg, rel. 15; 74.72 deg, rel. 12

Crystal structure
```
9
Lattice="6.007 0.000 0.000 -3.003 5.202 0.000 0.000 0.000 5.943" Properties=species:S:1:pos:R:3 pbc="T T T"
Sr 0.000 3.468 0.911
Sr 3.003 1.734 5.032
Zn 0.000 1.801 3.943
Zn -1.444 4.301 3.943
Zn 1.560 0.901 2.000
Zn 1.444 4.301 3.943
Zn 4.447 0.901 2.000
Zn 3.003 3.401 2.000
Pd 0.000 0.000 0.000
```

Sr8ZnPd2: calculated X-ray powder pattern (Cu Kα X-rays), based on a cell relaxed with GGA-PBE.
Lines closer than 0.1° are merged.

Largest 10 diffraction maxima, low angle first, 2θ from 10° to 80°:
17.37 deg, rel. 49; 18.35 deg, rel. 51; 21.22 deg, rel. 64; 25.37 deg, rel. 100; 27.70 deg, rel. 53; 31.49 deg, rel. 31; 35.16 deg, rel. 66; 37.19 deg, rel. 97; 47.00 deg, rel. 72; 70.24 deg, rel. 31

Crystal structure
```
11
Lattice="9.670 0.000 0.000 -4.835 8.375 0.000 0.000 0.000 6.440" Properties=species:S:1:pos:R:3 pbc="T T T"
Sr -0.009 2.697 1.590
Sr -2.495 7.034 1.590
Sr 2.331 1.356 4.850
Sr 0.000 5.583 4.818
Sr 4.835 2.792 1.622
Sr 2.504 7.019 1.590
Sr 7.330 1.341 4.850
Sr 4.844 5.678 4.850
Zn 0.000 0.000 3.220
Pd 0.000 5.583 1.609
Pd 4.835 2.792 4.831
```

Sr3ZnPd: calculated X-ray powder pattern (Cu Kα X-rays), based on a cell relaxed with GGA-PBE.
Lines closer than 0.1° are merged.

Largest 10 diffraction maxima, low angle first, 2θ from 10° to 80°:
13.24 deg, rel. 26; 16.45 deg, rel. 33; 27.55 deg, rel. 100; 30.41 deg, rel. 47; 31.78 deg, rel. 51; 32.26 deg, rel. 51; 34.31 deg, rel. 38; 39.11 deg, rel. 27; 40.47 deg, rel. 31; 41.28 deg, rel. 42

Crystal structure
```
10
Lattice="7.435 0.000 0.000 0.000 4.373 0.000 -2.194 0.000 10.780" Properties=species:S:1:pos:R:3 pbc="T T T"
Sr 1.482 1.093 0.756
Sr 0.123 3.279 8.205
Sr 0.884 1.093 4.759
Sr 4.357 3.279 6.020
Sr 5.118 1.093 2.575
Sr 3.759 3.279 10.024
Zn 2.588 3.279 3.003
Zn 2.653 1.093 7.777
Pd 0.029 3.279 2.470
Pd 5.213 1.093 8.310
```

SrZn2Pd8: calculated X-ray powder pattern (Cu Kα X-rays), based on a cell relaxed with GGA-PBE.
Lines closer than 0.1° are merged.

Largest 10 diffraction maxima, low angle first, 2θ from 10° to 80°:
10.22 deg, rel. 52; 20.53 deg, rel. 40; 25.90 deg, rel. 17; 31.01 deg, rel. 15; 33.81 deg, rel. 33; 39.89 deg, rel. 100; 46.53 deg, rel. 28; 48.57 deg, rel. 35; 64.28 deg, rel. 18; 74.65 deg, rel. 12

Crystal structure
```
11
Lattice="5.302 0.000 0.000 0.000 5.302 0.000 0.000 0.000 8.652" Properties=species:S:1:pos:R:3 pbc="T T T"
Sr 0.000 0.000 0.000
Zn 0.000 2.651 4.326
Zn 2.651 0.000 4.326
Pd 1.333 1.333 2.515
Pd 1.333 1.333 6.136
Pd 1.333 3.969 2.515
Pd 1.333 3.969 6.136
Pd 3.969 1.333 2.515
Pd 3.969 1.333 6.136
Pd 3.969 3.969 2.515
Pd 3.969 3.969 6.136
```

Sr2Zn7Pd: calculated X-ray powder pattern (Cu Kα X-rays), based on a cell relaxed with GGA-PBE.
Lines closer than 0.1° are merged.

Largest 10 diffraction maxima, low angle first, 2θ from 10° to 80°:
31.48 deg, rel. 48; 33.83 deg, rel. 100; 42.88 deg, rel. 55; 43.65 deg, rel. 30; 44.77 deg, rel. 29; 54.15 deg, rel. 20; 56.98 deg, rel. 11; 62.25 deg, rel. 17; 63.72 deg, rel. 20; 72.76 deg, rel. 21

Crystal structure
```
10
Lattice="4.218 0.000 0.000 0.000 4.218 0.000 0.000 0.000 11.538" Properties=species:S:1:pos:R:3 pbc="T T T"
Sr 0.000 2.109 2.852
Sr 2.109 0.000 8.685
Zn 0.000 0.000 0.000
Zn 0.000 0.000 5.769
Zn 0.000 2.109 7.356
Zn 0.000 2.109 9.999
Zn 2.109 0.000 1.539
Zn 2.109 0.000 4.182
Zn 2.109 2.109 5.769
Pd 2.109 2.109 0.000
```

Sr2Zn2Pd: calculated X-ray powder pattern (Cu Kα X-rays), based on a cell relaxed with GGA-PBE.
Lines closer than 0.1° are merged.

Largest 10 diffraction maxima, low angle first, 2θ from 10° to 80°:
15.47 deg, rel. 60; 29.90 deg, rel. 70; 30.90 deg, rel. 90; 31.01 deg, rel. 99; 34.11 deg, rel. 42; 34.41 deg, rel. 41; 36.56 deg, rel. 100; 37.07 deg, rel. 62; 40.99 deg, rel. 76; 60.11 deg, rel. 40

Crystal structure
```
10
Lattice="5.750 -2.202 0.000 5.750 2.202 0.000 -4.805 0.000 10.515" Properties=species:S:1:pos:R:3 pbc="T T T"
Sr 10.722 0.000 1.699
Sr -4.026 0.000 8.816
Sr -0.728 0.000 6.514
Sr 7.424 0.000 4.001
Zn -0.878 0.000 9.944
Zn 2.698 0.000 6.460
Zn 3.997 0.000 4.055
Zn 7.574 0.000 0.571
Pd 2.577 0.000 1.777
Pd 4.118 0.000 8.738
```

Sr3ZnPd2: calculated X-ray powder pattern (Cu Kα X-rays), based on a cell relaxed with GGA-PBE.
Lines closer than 0.1° are merged.

Largest 10 diffraction maxima, low angle first, 2θ from 10° to 80°:
28.37 deg, rel. 41; 29.14 deg, rel. 100; 29.50 deg, rel. 44; 30.04 deg, rel. 39; 30.24 deg, rel. 41; 32.68 deg, rel. 71; 37.73 deg, rel. 33; 37.98 deg, rel. 45; 40.51 deg, rel. 59; 41.77 deg, rel. 32

Crystal structure
```
24
Lattice="12.475 0.000 0.000 0.000 4.454 0.000 0.000 0.000 12.660" Properties=species:S:1:pos:R:3 pbc="T T T"
Sr 0.747 1.114 1.533
Sr 1.525 3.341 7.071
Sr 2.494 1.114 10.216
Sr 3.743 3.341 3.886
Sr 4.712 1.114 0.741
Sr 5.490 3.341 7.863
Sr 6.985 1.114 4.798
Sr 7.763 3.341 11.919
Sr 8.731 1.114 8.774
Sr 9.980 3.341 2.444
Sr 10.949 1.114 5.589
Sr 11.727 3.341 11.128
Zn 1.587 1.114 4.684
Zn 4.650 3.341 11.014
Zn 7.824 1.114 1.647
Zn 10.888 3.341 7.977
Pd 0.431 3.341 4.030
Pd 2.461 3.341 12.470
Pd 3.776 1.114 6.140
Pd 5.806 1.114 10.360
Pd 6.668 3.341 2.300
Pd 8.698 3.341 6.521
Pd 10.013 1.114 0.191
Pd 12.044 1.114 8.630
```

Sr3Zn2Pd6: calculated X-ray powder pattern (Cu Kα X-rays), based on a cell relaxed with GGA-PBE.
Lines closer than 0.1° are merged.

Largest 10 diffraction maxima, low angle first, 2θ from 10° to 80°:
12.79 deg, rel. 28; 28.84 deg, rel. 14; 34.27 deg, rel. 28; 36.72 deg, rel. 15; 39.04 deg, rel. 100; 41.24 deg, rel. 14; 56.39 deg, rel. 11; 58.08 deg, rel. 15; 62.98 deg, rel. 11; 70.71 deg, rel. 27

Crystal structure
```
22
Lattice="-4.895 4.895 4.895 4.895 -4.895 4.895 4.895 4.895 -4.895" Properties=species:S:1:pos:R:3 pbc="T T T"
Sr 2.931 0.000 0.000
Sr 6.858 0.000 0.000
Sr 0.000 2.931 0.000
Sr 0.000 0.000 2.931
Sr 0.000 6.858 0.000
Sr 0.000 0.000 6.858
Zn 2.447 2.447 -2.447
Zn 2.447 -2.447 2.447
Zn -2.447 2.447 2.447
Zn 2.447 2.447 2.447
Pd 4.895 1.719 -1.719
Pd 4.895 -1.719 1.719
Pd 1.719 4.895 -1.719
Pd 3.176 3.176 0.000
Pd 3.176 0.000 3.176
Pd 1.719 -1.719 4.895
Pd 4.895 1.719 1.719
Pd 0.000 3.176 3.176
Pd -1.719 4.895 1.719
Pd -1.719 1.719 4.895
Pd 1.719 4.895 1.719
Pd 1.719 1.719 4.895
```

SrZr2Pd: calculated X-ray powder pattern (Cu Kα X-rays), based on a cell relaxed with GGA-PBE.
Lines closer than 0.1° are merged.

Largest 10 diffraction maxima, low angle first, 2θ from 10° to 80°:
17.51 deg, rel. 78; 21.91 deg, rel. 24; 25.73 deg, rel. 100; 34.15 deg, rel. 24; 35.45 deg, rel. 38; 37.12 deg, rel. 49; 37.56 deg, rel. 35; 39.12 deg, rel. 33; 52.89 deg, rel. 50; 56.22 deg, rel. 22

Crystal structure
```
8
Lattice="-2.626 2.626 9.578 2.626 -2.626 9.578 2.626 2.626 -9.578" Properties=species:S:1:pos:R:3 pbc="T T T"
Sr 2.626 1.313 2.394
Sr 0.000 1.313 7.183
Zr 0.000 0.000 0.000
Zr 1.313 1.313 -4.789
Zr 1.313 -1.313 4.789
Zr 0.000 2.626 0.000
Pd 2.626 -1.313 7.183
Pd 0.000 3.939 2.394
```